Calculated powder XRD pattern
Compound: PrPa2N4
Radiation: λ = 1.5418 Å (Cu Kα)
Structure: DFT lattice parameters and positions (PBE)
Kinematic intensities with the Lorentz-polarization factor, no thermal factor.

Cell and atoms:
Cell lengths 3.4789, 11.5683, 10.8407 Å; angles 90.00, 90.00, 90.00 degrees
Space group Cmcm (No. 63)
Unique sites:
Pr: 0.0000 0.1090 0.2500 (multiplicity 4)
Pa: 0.0000 0.3686 0.0706 (multiplicity 8)
N: 0.0000 0.0000 0.0000 (multiplicity 4)
N: 0.0000 0.2703 0.6038 (multiplicity 8)
N: 0.0000 0.4580 0.2500 (multiplicity 4)

Principal peaks in the range 2θ from 5° to 70°, by angle:
- 3.185 Å, 28.0°, I 33, hkl 1 1 1
- 3.065 Å, 29.1°, I 100, hkl 0 2 3
- 2.892 Å, 30.9°, I 38, hkl 0 4 0
- 2.838 Å, 31.5°, I 40, hkl 1 1 2
- 2.513 Å, 35.7°, I 27, hkl 1 3 1
- 2.332 Å, 38.6°, I 30, hkl 1 3 2
- 1.816 Å, 50.2°, I 34, hkl 1 1 5
- 1.701 Å, 53.9°, I 34, hkl 0 6 3

***

Calculated powder XRD pattern
Compound: DyAl4GaIr
Radiation: λ = 1.5418 Å (Cu Kα)
Structure: DFT lattice parameters and positions (PBE)
Kinematic intensities with the Lorentz-polarization factor, no thermal factor.

Cell and atoms:
Cell lengths 4.2865, 4.2865, 6.9412 Å; angles 90.00, 90.00, 90.00 degrees
Space group P4/mmm (No. 123)
Unique sites:
Dy: 0.0000 0.0000 0.0000 (multiplicity 1)
Al: 0.0000 0.5000 0.3055 (multiplicity 4)
Ga: 0.5000 0.5000 0.0000 (multiplicity 1)
Ir: 0.0000 0.0000 0.5000 (multiplicity 1)

Principal peaks in the range 2θ from 5° to 70°, by angle:
- 4.287 Å, 20.7°, I 76, hkl 1 0 0
- 3.471 Å, 25.7°, I 34, hkl 0 0 2
- 3.031 Å, 29.5°, I 42, hkl 1 1 0
- 2.697 Å, 33.2°, I 47, hkl 1 0 2
- 2.283 Å, 39.5°, I 100, hkl 1 1 2
- 2.143 Å, 42.2°, I 46, hkl 2 0 0
- 1.824 Å, 50.0°, I 23, hkl 2 0 2
- 1.678 Å, 54.7°, I 24, hkl 2 1 2

***

Calculated powder XRD pattern
Compound: AlZnAg6
Radiation: λ = 1.5418 Å (Cu Kα)
Structure: DFT lattice parameters and positions (PBE)
Kinematic intensities with the Lorentz-polarization factor, no thermal factor.

Cell and atoms:
Cell lengths 5.7998, 5.7998, 4.7132 Å; angles 90.00, 90.00, 120.00 degrees
Space group P-6m2 (No. 187)
Unique sites:
Al: 0.0000 0.0000 0.0000 (multiplicity 1)
Zn: 0.6667 0.3333 0.5000 (multiplicity 1)
Ag: 0.1645 0.3290 0.5000 (multiplicity 3)
Ag: 0.5020 0.0039 0.0000 (multiplicity 3)

Principal peaks in the range 2θ from 5° to 70°, by angle:
- 5.023 Å, 17.7°, I 4, hkl 1 0 0
- 3.437 Å, 25.9°, I 10, hkl 1 0 1
- 2.900 Å, 30.8°, I 4, hkl 1 1 0
- 2.511 Å, 35.8°, I 24, hkl 2 0 0
- 2.357 Å, 38.2°, I 27, hkl 0 0 2
- 2.216 Å, 40.7°, I 100, hkl 2 0 1
- 1.718 Å, 53.3°, I 15, hkl 2 0 2
- 1.450 Å, 64.2°, I 16, hkl 2 2 0

***

Calculated powder XRD pattern
Compound: TbAuSeO
Radiation: λ = 1.5418 Å (Cu Kα)
Structure: DFT lattice parameters and positions (PBE)
Kinematic intensities with the Lorentz-polarization factor, no thermal factor.

Cell and atoms:
Cell lengths 5.5824, 5.5824, 9.5434 Å; angles 90.00, 90.00, 90.00 degrees
Space group P4bm (No. 100)
Unique sites:
Tb: 0.0000 0.0000 0.0000 (multiplicity 2)
Tb: 0.0000 0.5000 0.2357 (multiplicity 2)
Au: 0.1820 0.3180 0.6083 (multiplicity 4)
Se: 0.0000 0.0000 0.4043 (multiplicity 2)
Se: 0.0000 0.5000 0.8393 (multiplicity 2)
O: 0.2490 0.2510 0.1191 (multiplicity 4)

Principal peaks in the range 2θ from 5° to 70°, by angle:
- 9.543 Å, 9.3°, I 45, hkl 0 0 1
- 4.772 Å, 18.6°, I 43, hkl 0 0 2
- 3.042 Å, 29.4°, I 83, hkl 1 1 2
- 2.679 Å, 33.4°, I 77, hkl 2 0 1
- 2.477 Å, 36.3°, I 54, hkl 1 1 3
- 2.412 Å, 37.3°, I 100, hkl 2 0 2
- 2.212 Å, 40.8°, I 37, hkl 2 1 2
- 1.974 Å, 46.0°, I 40, hkl 2 2 0

***

Calculated powder XRD pattern
Compound: K2SnHgTe2Se2
Radiation: λ = 1.5418 Å (Cu Kα)
Structure: DFT lattice parameters and positions (PBE)
Kinematic intensities with the Lorentz-polarization factor, no thermal factor.

Cell and atoms:
Cell lengths 11.9600, 12.1670, 7.3425 Å; angles 90.00, 90.00, 90.00 degrees
Space group Fmm2 (No. 42)
Unique sites:
K: 0.2500 0.2500 0.0000 (multiplicity 8)
Sn: 0.0000 0.0000 0.0099 (multiplicity 4)
Hg: 0.0000 0.0000 0.4920 (multiplicity 4)
Te: 0.1788 0.0000 0.7607 (multiplicity 8)
Se: 0.0000 0.1665 0.2287 (multiplicity 8)

Principal peaks in the range 2θ from 5° to 70°, by angle:
- 6.084 Å, 14.6°, I 66, hkl 0 2 0
- 5.980 Å, 14.8°, I 22, hkl 2 0 0
- 3.403 Å, 26.2°, I 30, hkl 1 3 1
- 3.367 Å, 26.5°, I 50, hkl 3 1 1
- 3.042 Å, 29.4°, I 26, hkl 0 4 0
- 2.782 Å, 32.2°, I 100, hkl 2 2 2
- 2.181 Å, 41.4°, I 28, hkl 2 4 2
- 1.844 Å, 49.4°, I 21, hkl 4 4 2

***

Calculated powder XRD pattern
Compound: Nd4Ge3S12
Radiation: λ = 1.5418 Å (Cu Kα)
Structure: DFT lattice parameters and positions (PBE)
Kinematic intensities with the Lorentz-polarization factor, no thermal factor.

Cell and atoms:
Cell lengths 19.4417, 19.4417, 7.9992 Å; angles 90.00, 90.00, 120.00 degrees
Space group R3c (No. 161, hexagonal axes)
Unique sites:
Nd: 0.0000 0.0000 0.0000 (multiplicity 6)
Nd: 0.0050 0.2334 0.2099 (multiplicity 18)
Ge: 0.1463 0.4673 0.3244 (multiplicity 18)
S: 0.0630 0.3919 0.5257 (multiplicity 18)
S: 0.0879 0.2014 0.4994 (multiplicity 18)
S: 0.1236 0.0604 0.2499 (multiplicity 18)
S: 0.1526 0.3784 0.1610 (multiplicity 18)

Principal peaks in the range 2θ from 5° to 70°, by angle:
- 4.980 Å, 17.8°, I 26, hkl 2 1 1
- 3.674 Å, 24.2°, I 100, hkl 4 1 0
- 3.386 Å, 26.3°, I 43, hkl 1 2 2
- 2.778 Å, 32.2°, I 41, hkl 2 3 2
- 2.574 Å, 34.9°, I 49, hkl 5 0 2
- 2.445 Å, 36.8°, I 23, hkl 1 6 1
- 2.430 Å, 37.0°, I 28, hkl 4 4 0
- 1.896 Å, 48.0°, I 22, hkl 5 2 3